This entry pairs a crystal structure of GaAg3I6 with its calculated XRD peak list. Radiation: copper Kα. Structure: DFT lattice parameters and positions (PBE).
Lines closer than 0.1° are merged.

Largest 10 diffraction maxima, by angle, 10 to 90 degrees two-theta:
2θ/deg	d/Å	I (rel.)
17.14	5.174	100
20.37	4.360	53
23.18	3.838	92
24.05	3.701	66
27.04	3.297	68
28.03	3.183	71
30.13	2.966	47
30.25	2.954	41
34.83	2.576	49
42.49	2.128	49

Atomic structure:
a b c (Å): 10.399 8.098 10.410
angles (deg): 90.00 113.82 90.00
Fractional positions:
Ga  0.211  0.000  0.289
Ga  0.789  0.500  0.711
Ag  0.167  0.174  0.848
Ag  0.348  0.675  0.667
Ag  0.496  0.260  0.004
Ag  0.504  0.760  0.996
Ag  0.652  0.175  0.333
Ag  0.833  0.674  0.152
I  0.101  0.946  0.019
I  0.109  0.754  0.391
I  0.141  0.274  0.359
I  0.272  0.507  0.871
I  0.371  0.007  0.771
I  0.481  0.946  0.399
I  0.519  0.446  0.601
I  0.629  0.507  0.229
I  0.728  0.007  0.129
I  0.859  0.774  0.641
I  0.891  0.254  0.609
I  0.899  0.446  0.981

---

This entry pairs a crystal structure of Ti2Pt3 with its calculated XRD peak list. Radiation: copper Kα. Structure: DFT lattice parameters and positions (PBE).
Lines closer than 0.1° are merged.

Largest 10 diffraction maxima, by angle, 10 to 90 degrees two-theta:
2θ/deg	d/Å	I (rel.)
25.13	3.544	61
29.61	3.017	50
35.68	2.517	63
35.95	2.498	21
40.73	2.215	41
41.46	2.178	100
41.78	2.162	74
43.48	2.081	48
55.84	1.647	36
70.69	1.333	16

Atomic structure:
a b c (Å): 9.959 4.354 7.718
angles (deg): 90.00 90.00 90.00
Fractional positions:
Ti  0.005  0.250  0.169
Ti  0.201  0.250  0.515
Ti  0.299  0.750  0.015
Ti  0.495  0.750  0.669
Ti  0.505  0.250  0.331
Ti  0.701  0.250  0.985
Ti  0.799  0.750  0.485
Ti  0.995  0.750  0.831
Pt  0.057  0.750  0.397
Pt  0.134  0.250  0.873
Pt  0.243  0.750  0.687
Pt  0.257  0.250  0.187
Pt  0.366  0.750  0.373
Pt  0.443  0.250  0.897
Pt  0.557  0.750  0.103
Pt  0.634  0.250  0.627
Pt  0.743  0.750  0.813
Pt  0.757  0.250  0.313
Pt  0.866  0.750  0.127
Pt  0.943  0.250  0.603

---

This entry pairs a crystal structure of IrRuRh5 with its calculated XRD peak list. Radiation: copper Kα. Structure: DFT lattice parameters and positions (PBE).
Lines closer than 0.1° are merged.

Largest 10 diffraction maxima, by angle, 10 to 90 degrees two-theta:
2θ/deg	d/Å	I (rel.)
19.53	4.545	2
20.03	4.433	2
40.69	2.218	100
47.34	1.920	48
69.15	1.358	20
69.24	1.357	10
83.44	1.158	28
83.56	1.157	9
88.05	1.109	5
88.16	1.108	5

Atomic structure:
a b c (Å): 4.703 4.707 9.402
angles (deg): 99.62 99.49 99.57
Fractional positions:
Ir  0.000  0.000  0.000
Ir  0.431  0.714  0.428
Ru  0.285  0.144  0.787
Ru  0.712  0.856  0.215
Rh  0.143  0.576  0.144
Rh  0.145  0.571  0.645
Rh  0.283  0.139  0.286
Rh  0.430  0.717  0.929
Rh  0.567  0.285  0.572
Rh  0.570  0.282  0.072
Rh  0.716  0.861  0.715
Rh  0.857  0.425  0.858
Rh  0.857  0.431  0.357
Rh  0.999  0.997  0.501